Theoretical powder X-ray diffraction pattern of FeRePd6 for Cu Ka, from a cell relaxed with PBE.
Intensities are scaled so that the largest is 1000.

Most intense lines, 2θ = 10–80°, sorted by position:
| Position (°2θ) | intensity |
| --- | --- |
| 37.39 | 144 |
| 37.59 | 232 |
| 40.21 | 389 |
| 42.65 | 471 |
| 42.83 | 1000 |
| 56.21 | 142 |
| 67.57 | 161 |
| 74.88 | 186 |

Crystal structure
```
data_FeRePd6
_chemical_formula_sum 'Fe2 Re2 Pd12'
_cell_length_a 4.4859
_cell_length_b 5.5164
_cell_length_c 9.6218
_cell_angle_alpha 90.00
_cell_angle_beta 90.00
_cell_angle_gamma 90.00
_symmetry_space_group_name_H-M 'A m m 2'
_symmetry_Int_Tables_number 38
loop_
_symmetry_equiv_pos_as_xyz
'x,y,z'
'-x,-y,z'
'-x,y,z'
'x,-y,z'
'x,y+1/2,z+1/2'
'-x,-y+1/2,z+1/2'
'-x,y+1/2,z+1/2'
'x,-y+1/2,z+1/2'
loop_
_atom_site_label
_atom_site_type_symbol
_atom_site_fract_x
_atom_site_fract_y
_atom_site_fract_z
_atom_site_occupancy
Fe1 Fe 0.0000 0.0000 0.0000 1
Re1 Re 0.5000 0.0000 0.1646 1
Pd1 Pd 0.0000 0.0000 0.4956 1
Pd2 Pd 0.0000 0.2440 0.2431 1
Pd3 Pd 0.5000 0.0000 0.6640 1
Pd4 Pd 0.5000 0.2443 0.9156 1
```